For PmSmSc4, DFT lattice parameters and positions (PBE) gives the theoretical XRD peak list in this record (CuKα).

```
data_PmSmSc4
_symmetry_space_group_name_H-M 'C m c 21'
_symmetry_Int_Tables_number 36
_cell_length_a 3.413
_cell_length_b 17.602
_cell_length_c 10.956
_cell_angle_alpha 90.00
_cell_angle_beta 90.00
_cell_angle_gamma 90.00
loop_
_symmetry_equiv_pos_as_xyz
'x,y,z'
'-x,-y,z+1/2'
'-x,y,z'
'x,-y,z+1/2'
'x+1/2,y+1/2,z'
'-x+1/2,-y+1/2,z+1/2'
'-x+1/2,y+1/2,z'
'x+1/2,-y+1/2,z+1/2'
loop_
_atom_site_label
_atom_site_type_symbol
_atom_site_fract_x
_atom_site_fract_y
_atom_site_fract_z
_atom_site_occupancy
Pm1 Pm 0.000 0.163 0.000 1
Sm1 Sm 0.000 0.281 0.759 1
Sc1 Sc 0.000 0.051 0.259 1
Sc2 Sc 0.000 0.161 0.513 1
Sc3 Sc 0.000 0.395 0.251 1
Sc4 Sc 0.000 0.496 0.008 1
```

Top 10 peaks for 2θ from 10° to 90°, by angle:
- 10.1°, I = 56, hkl 0 2 0
- 12.9°, I = 31, hkl 0 2 1
- 27.8°, I = 28, hkl 1 1 1
- 31.4°, I = 41, hkl 1 3 1
- 31.6°, I = 23, hkl 0 6 1
- 32.7°, I = 50, hkl 0 0 4
- 34.5°, I = 100, hkl 1 3 2
- 34.7°, I = 44, hkl 0 6 2
- 39.3°, I = 22, hkl 1 3 3
- 64.6°, I = 25, hkl 1 9 4